Computed X-ray diffraction stick pattern of Ce4NdIn5 for Cu Kα (weighted mean of Kα1 and Kα2), from DFT lattice parameters and positions (GGA-PBE).

Cell and atoms:
Cell lengths 3.551, 4.679, 16.607 Å; angles 90.00, 90.00, 90.00 degrees
Sites, in units of the cell vectors:
Ce1 0.000 0.000 0.099
Ce2 0.000 0.000 0.292
Ce3 0.000 0.000 0.708
Ce4 0.000 0.000 0.901
Nd1 0.000 0.000 0.500
In1 0.500 0.500 0.000
In2 0.500 0.500 0.197
In3 0.500 0.500 0.397
In4 0.500 0.500 0.603
In5 0.500 0.500 0.803

Top 10 peaks for 2θ from 10° to 90°, most intense first:
d [Å]	2θ (°)	Rel. int.
2.829	31.6	100.0
2.709	33.1	87.3
2.426	37.1	64.0
1.684	54.5	41.4
2.340	38.5	29.4
1.485	62.6	27.1
1.432	65.1	22.7
1.775	51.5	12.5
1.428	65.3	12.0
1.414	66.1	11.7

Computed X-ray diffraction stick pattern of CeNdIn3 for Cu Kα (weighted mean of Kα1 and Kα2), from DFT lattice parameters and positions (GGA-PBE).

Cell and atoms:
Cell lengths 7.571, 7.571, 6.176 Å; angles 90.00, 90.00, 120.00 degrees
Sites, in units of the cell vectors:
Ce1 0.000 0.000 0.000
Ce2 0.000 0.000 0.500
Nd1 0.333 0.667 0.250
Nd2 0.667 0.333 0.750
In1 0.205 0.410 0.750
In2 0.205 0.795 0.750
In3 0.410 0.205 0.250
In4 0.590 0.795 0.750
In5 0.795 0.205 0.250
In6 0.795 0.590 0.250

Top 10 peaks for 2θ from 10° to 90°, most intense first:
d [Å]	2θ (°)	Rel. int.
2.896	30.9	100.0
2.248	40.1	49.8
2.794	32.0	43.0
3.785	23.5	40.0
2.478	36.3	36.1
1.744	52.5	31.1
1.567	58.9	22.6
2.060	43.9	21.7
1.893	48.1	21.0
3.088	28.9	19.9

Computed X-ray diffraction stick pattern of CeNd4In2 for Cu Kα (weighted mean of Kα1 and Kα2), from DFT lattice parameters and positions (GGA-PBE).

Cell and atoms:
Cell lengths 5.920, 5.920, 12.927 Å; angles 90.00, 90.00, 90.00 degrees
Sites, in units of the cell vectors:
Ce1 0.000 0.000 0.000
Ce2 0.500 0.500 0.500
Nd1 0.000 0.500 0.000
Nd2 0.000 0.500 0.250
Nd3 0.000 0.500 0.500
Nd4 0.000 0.500 0.750
Nd5 0.500 0.000 0.000
Nd6 0.500 0.000 0.250
Nd7 0.500 0.000 0.500
Nd8 0.500 0.000 0.750
In1 0.000 0.000 0.376
In2 0.000 0.000 0.624
In3 0.500 0.500 0.124
In4 0.500 0.500 0.876

Top 10 peaks for 2θ from 10° to 90°, most intense first:
d [Å]	2θ (°)	Rel. int.
2.960	30.2	100.0
2.558	35.1	67.1
2.093	43.2	37.4
1.620	56.8	33.0
3.484	25.6	30.7
2.183	41.4	22.0
1.418	65.8	21.1
2.256	40.0	18.7
1.324	71.2	16.7
3.232	27.6	16.2

Computed X-ray diffraction stick pattern of Ce7InNi2 for Cu Kα (weighted mean of Kα1 and Kα2), from DFT lattice parameters and positions (GGA-PBE).

Cell and atoms:
Cell lengths 8.144, 8.144, 4.937 Å; angles 90.00, 90.00, 116.42 degrees
Sites, in units of the cell vectors:
Ce1 0.000 0.000 0.000
Ce2 0.210 0.461 0.000
Ce3 0.226 0.774 0.500
Ce4 0.461 0.210 0.000
Ce5 0.539 0.790 0.000
Ce6 0.774 0.226 0.500
Ce7 0.790 0.539 0.000
In1 0.500 0.500 0.500
Ni1 0.186 0.814 0.000
Ni2 0.814 0.186 0.000

Top 10 peaks for 2θ from 10° to 90°, most intense first:
d [Å]	2θ (°)	Rel. int.
2.435	36.9	100.0
2.834	31.6	72.4
3.138	28.4	67.7
2.468	36.4	62.3
2.694	33.3	58.9
4.937	18.0	46.1
1.820	50.1	36.9
2.801	31.9	30.5
1.732	52.9	30.2
4.291	20.7	28.9

Computed X-ray diffraction stick pattern of Ce3InNi for Cu Kα (weighted mean of Kα1 and Kα2), from DFT lattice parameters and positions (GGA-PBE).

Cell and atoms:
Cell lengths 5.242, 5.242, 5.242 Å; angles 90.00, 90.00, 90.00 degrees
Sites, in units of the cell vectors:
Ce1 0.000 0.000 0.500
Ce2 0.000 0.500 0.000
Ce3 0.500 0.000 0.000
In1 0.500 0.500 0.500
Ni1 0.000 0.000 0.000

Top 10 peaks for 2θ from 10° to 90°, most intense first:
d [Å]	2θ (°)	Rel. int.
3.027	29.5	100.0
2.621	34.2	83.1
1.853	49.2	59.0
1.581	58.4	43.5
1.172	82.2	25.9
1.513	61.3	20.1
1.203	79.7	17.7
5.242	16.9	10.3
1.311	72.1	9.2
2.344	38.4	5.1

Computed X-ray diffraction stick pattern of CeIn6Ni3 for Cu Kα (weighted mean of Kα1 and Kα2), from DFT lattice parameters and positions (GGA-PBE).

Cell and atoms:
Cell lengths 4.370, 7.684, 12.112 Å; angles 90.00, 90.00, 90.00 degrees
Sites, in units of the cell vectors:
Ce1 0.250 0.250 0.172
Ce2 0.750 0.750 0.828
In1 0.250 0.051 0.915
In2 0.250 0.250 0.491
In3 0.250 0.449 0.915
In4 0.250 0.549 0.664
In5 0.250 0.750 0.249
In6 0.250 0.951 0.664
In7 0.750 0.049 0.336
In8 0.750 0.250 0.751
In9 0.750 0.451 0.336
In10 0.750 0.551 0.085
In11 0.750 0.750 0.509
In12 0.750 0.949 0.085
Ni1 0.250 0.574 0.435
Ni2 0.250 0.750 0.030
Ni3 0.250 0.926 0.435
Ni4 0.750 0.074 0.565
Ni5 0.750 0.250 0.970
Ni6 0.750 0.426 0.565

Top 10 peaks for 2θ from 10° to 90°, most intense first:
d [Å]	2θ (°)	Rel. int.
2.807	31.9	100.0
2.489	36.1	60.3
2.185	41.3	55.2
2.767	32.4	52.6
2.174	41.5	49.4
2.783	32.2	26.6
2.378	37.8	25.7
1.490	62.3	24.4
2.310	39.0	18.9
1.609	57.3	15.1

Computed X-ray diffraction stick pattern of Ce4In16Ni3 for Cu Kα (weighted mean of Kα1 and Kα2), from DFT lattice parameters and positions (GGA-PBE).

Cell and atoms:
Cell lengths 6.683, 6.683, 12.265 Å; angles 90.00, 90.00, 90.00 degrees
Sites, in units of the cell vectors:
Ce1 0.000 0.500 0.194
Ce2 0.000 0.500 0.806
Ce3 0.500 0.000 0.194
Ce4 0.500 0.000 0.806
In1 0.000 0.000 0.196
In2 0.000 0.000 0.804
In3 0.228 0.228 0.000
In4 0.228 0.772 0.000
In5 0.248 0.248 0.381
In6 0.248 0.248 0.619
In7 0.248 0.752 0.381
In8 0.248 0.752 0.619
In9 0.500 0.500 0.213
In10 0.500 0.500 0.787
In11 0.752 0.248 0.381
In12 0.752 0.248 0.619
In13 0.752 0.752 0.381
In14 0.752 0.752 0.619
In15 0.772 0.228 0.000
In16 0.772 0.772 0.000
Ni1 0.000 0.500 0.500
Ni2 0.500 0.000 0.500
Ni3 0.500 0.500 0.000

Top 10 peaks for 2θ from 10° to 90°, most intense first:
d [Å]	2θ (°)	Rel. int.
2.587	34.7	100.0
2.363	38.1	69.0
2.934	30.5	48.8
1.702	53.9	33.6
2.453	36.6	27.0
1.404	66.6	26.5
1.671	55.0	22.5
2.259	39.9	16.3
1.381	67.9	15.9
1.393	67.2	14.4

Computed X-ray diffraction stick pattern of Ce2InNi6 for Cu Kα (weighted mean of Kα1 and Kα2), from DFT lattice parameters and positions (GGA-PBE).

Cell and atoms:
Cell lengths 7.568, 7.568, 7.568 Å; angles 155.03, 125.83, 60.53 degrees
Sites, in units of the cell vectors:
Ce1 0.143 0.143 0.000
Ce2 0.857 0.857 0.000
In1 0.500 0.000 0.500
Ni1 0.142 0.323 0.819
Ni2 0.186 0.500 0.686
Ni3 0.496 0.677 0.819
Ni4 0.504 0.323 0.181
Ni5 0.814 0.500 0.314
Ni6 0.858 0.677 0.181

Top 10 peaks for 2θ from 10° to 90°, most intense first:
d [Å]	2θ (°)	Rel. int.
2.335	38.6	100.0
2.032	44.6	85.5
2.192	41.2	80.3
2.693	33.3	63.9
2.179	41.4	42.4
3.683	24.2	35.0
1.274	74.4	34.9
1.467	63.4	26.5
1.636	56.2	25.5
2.956	30.2	22.5